No. 1
For NpGa2Ni9, a DFT-relaxed cell (PBE, Alexandria) gives the computed X-ray powder pattern in this record (λ = 1.5418 Å (Cu Kα)).

Unit cell a=8.179 b=8.179 c=8.179 alpha=34.30 beta=34.30 gamma=34.30
Positions (direct):
Np: 0.000 0.000 0.000
Ga: 0.142 0.142 0.142
Ga: 0.858 0.858 0.858
Ni: 0.082 0.589 0.589
Ni: 0.334 0.334 0.334
Ni: 0.411 0.411 0.918
Ni: 0.411 0.918 0.411
Ni: 0.500 0.500 0.500
Ni: 0.589 0.082 0.589
Ni: 0.589 0.589 0.082
Ni: 0.666 0.666 0.666
Ni: 0.918 0.411 0.411

The 10 most intense peaks (2θ from 15° to 90°), sorted by position:
d [Å]	I (rel.)
3.383	149
2.587	282
2.412	391
2.373	283
2.080	356
2.055	182
2.043	1000
1.923	193
1.309	224
1.206	186

No. 2
For K3PaGe2O9, a DFT-relaxed cell (PBE, Alexandria) gives the computed X-ray powder pattern in this record (λ = 1.5418 Å (Cu Kα)).

Unit cell a=5.711 b=5.711 c=7.024 alpha=90.00 beta=90.00 gamma=120.00
Positions (direct):
K: 0.000 0.000 0.000
K: 0.333 0.667 0.677
K: 0.667 0.333 0.323
Pa: 0.000 0.000 0.500
Ge: 0.333 0.667 0.162
Ge: 0.667 0.333 0.838
O: 0.000 0.500 0.000
O: 0.176 0.352 0.316
O: 0.176 0.824 0.316
O: 0.352 0.176 0.684
O: 0.500 0.000 0.000
O: 0.500 0.500 0.000
O: 0.648 0.824 0.316
O: 0.824 0.176 0.684
O: 0.824 0.648 0.684

The 10 most intense peaks (2θ from 15° to 90°), sorted by position:
d [Å]	I (rel.)
4.946	175
4.044	639
2.860	1000
2.022	368
1.811	116
1.806	150
1.655	104
1.650	292
1.432	104
1.428	101

No. 3
For Nb8Ge, a DFT-relaxed cell (PBE, Alexandria) gives the computed X-ray powder pattern in this record (λ = 1.5418 Å (Cu Kα)).

Unit cell a=8.598 b=7.405 c=5.468 alpha=82.33 beta=58.60 gamma=39.07
Positions (direct):
Nb: 0.163 0.163 0.837
Nb: 0.169 0.500 0.500
Nb: 0.169 0.831 0.169
Nb: 0.500 0.169 0.831
Nb: 0.500 0.831 0.169
Nb: 0.831 0.169 0.831
Nb: 0.831 0.500 0.500
Nb: 0.837 0.837 0.163
Ge: 0.500 0.500 0.500

The 10 most intense peaks (2θ from 15° to 90°), sorted by position:
d [Å]	I (rel.)
2.344	252
2.334	1000
2.325	248
1.650	251
1.351	166
1.349	84
1.345	248
1.172	26
1.167	104
1.163	26